(1)
The following is a computed X-ray powder pattern of Li3Mn3CoO8. It was derived from a structure optimized by DFT (PBE+U), using λ = 1.5418 Å (Cu Kα).
Lines closer than 0.1° are merged.

Cell and atoms:
```
Li3Mn3CoO8
1.0
2.932 1.693 4.895
-2.932 1.693 4.895
0.000 -3.386 4.895
Li Mn Co O
3 3 1 8
direct
0.000 0.500 0.500
0.500 0.000 0.500
0.500 0.500 0.000
0.000 0.000 0.500
0.000 0.500 0.000
0.500 0.000 0.000
0.500 0.500 0.500
0.242 0.732 0.732
0.250 0.250 0.250
0.268 0.268 0.758
0.268 0.758 0.268
0.732 0.242 0.732
0.732 0.732 0.242
0.750 0.750 0.750
0.758 0.268 0.268
```

Largest 10 diffraction maxima, low angle first, 10 to 90 degrees two-theta:
2θ = 18.12°, I 100; 2θ = 35.89°, I 37; 2θ = 37.47°, I 10; 2θ = 43.32°, I 66; 2θ = 47.32°, I 11; 2θ = 56.93°, I 14; 2θ = 62.42°, I 17; 2θ = 63.45°, I 18; 2θ = 66.58°, I 13; 2θ = 79.95°, I 8

=====

(2)
The following is a computed X-ray powder pattern of Li2MnCoO4. It was derived from a structure optimized by DFT (PBE+U), using λ = 1.5418 Å (Cu Kα).
Lines closer than 0.1° are merged.

Cell and atoms:
```
Li2MnCoO4
1.0
5.135 -2.992 0.000
5.135 2.992 0.000
-1.681 0.000 4.773
Li Mn Co O
4 2 2 8
direct
0.129 0.871 0.500
0.372 0.630 0.985
0.630 0.372 0.485
0.871 0.129 0.000
0.124 0.376 0.492
0.376 0.124 0.992
0.629 0.872 0.492
0.872 0.629 0.992
0.012 0.718 0.722
0.030 0.247 0.739
0.247 0.030 0.239
0.252 0.471 0.245
0.471 0.252 0.745
0.491 0.782 0.764
0.718 0.012 0.222
0.782 0.491 0.264
```

Largest 10 diffraction maxima, low angle first, 10 to 90 degrees two-theta:
2θ = 18.32°, I 100; 2θ = 35.41°, I 28; 2θ = 36.01°, I 14; 2θ = 37.01°, I 10; 2θ = 43.10°, I 52; 2θ = 43.51°, I 25; 2θ = 47.11°, I 10; 2θ = 57.04°, I 12; 2θ = 62.52°, I 14; 2θ = 63.29°, I 14